Record 1
Diffraction record for TlAgSn3. The powder diffractogram is computed, not measured: it uses a cell relaxed with PBE and Cu Kα (λ = 1.5418 Å).
Lines closer than 0.1° are merged.

Peak list (10 most intense, 2θ from 15° to 90°, in order of falling intensity)
| 2θ/deg | I (rel.) |
| --- | --- |
| 32.10 | 100 |
| 40.73 | 37 |
| 52.48 | 26 |
| 31.77 | 23 |
| 28.24 | 23 |
| 50.91 | 22 |
| 24.82 | 22 |
| 81.11 | 12 |
| 61.47 | 12 |
| 72.78 | 12 |

Structural model:
```
TlAgSn3
1.0
7.1747 0.0000 0.0000
-3.5874 6.2135 0.0000
0.0000 0.0000 6.3206
Tl Ag Sn
2 2 6
Direct
0.3333 0.6667 0.2500 Tl
0.6667 0.3333 0.7500 Tl
0.0000 0.0000 0.0000 Ag
0.0000 0.0000 0.5000 Ag
0.1917 0.3834 0.7500 Sn
0.1917 0.8083 0.7500 Sn
0.3834 0.1917 0.2500 Sn
0.6166 0.8083 0.7500 Sn
0.8083 0.1917 0.2500 Sn
0.8083 0.6166 0.2500 Sn
```

---

Record 2
Diffraction record for VAgICl4. The powder diffractogram is computed, not measured: it uses a cell relaxed with PBE and Cu Kα (λ = 1.5418 Å).
Lines closer than 0.1° are merged.

Peak list (10 most intense, 2θ from 15° to 90°, in order of falling intensity)
| 2θ/deg | I (rel.) |
| --- | --- |
| 16.56 | 100 |
| 24.33 | 37 |
| 26.58 | 27 |
| 29.26 | 24 |
| 36.47 | 23 |
| 28.46 | 22 |
| 39.54 | 22 |
| 41.75 | 19 |
| 50.95 | 18 |
| 32.95 | 17 |

Structural model:
```
VAgICl4
1.0
8.3957 -3.6589 0.0000
8.3957 3.6589 0.0000
-0.1161 0.0000 8.9407
V Ag I Cl
2 2 2 8
Direct
0.1431 0.1431 0.2907 V
0.8569 0.8569 0.7093 V
0.4268 0.4268 0.9187 Ag
0.5732 0.5732 0.0813 Ag
0.4297 0.4297 0.2312 I
0.5703 0.5703 0.7688 I
0.0160 0.0160 0.2841 Cl
0.0592 0.5732 0.8262 Cl
0.1887 0.1887 0.5154 Cl
0.4268 0.9408 0.1738 Cl
0.5732 0.0592 0.8262 Cl
0.8113 0.8113 0.4846 Cl
0.9408 0.4268 0.1738 Cl
0.9840 0.9840 0.7159 Cl
```

---

Record 3
Diffraction record for UMn6. The powder diffractogram is computed, not measured: it uses a cell relaxed with PBE and Cu Kα (λ = 1.5418 Å).
Lines closer than 0.1° are merged.

Peak list (10 most intense, 2θ from 15° to 90°, in order of falling intensity)
| 2θ/deg | I (rel.) |
| --- | --- |
| 40.70 | 100 |
| 40.43 | 93 |
| 37.28 | 84 |
| 24.33 | 70 |
| 46.28 | 45 |
| 55.71 | 38 |
| 28.70 | 35 |
| 39.87 | 33 |
| 33.10 | 33 |
| 43.84 | 30 |

Structural model:
```
UMn6
1.0
7.8832 0.0000 0.0000
0.0000 4.5225 0.0000
0.0000 0.0000 10.1335
U Mn
4 24
Direct
0.2405 0.2500 0.0575 U
0.2595 0.7500 0.5575 U
0.7405 0.2500 0.4425 U
0.7595 0.7500 0.9425 U
0.0480 0.2500 0.5786 Mn
0.0661 0.5087 0.8092 Mn
0.0661 0.9913 0.8092 Mn
0.1318 0.7500 0.0290 Mn
0.1357 0.2500 0.3502 Mn
0.1952 0.7500 0.2580 Mn
0.3048 0.2500 0.7580 Mn
0.3643 0.7500 0.8502 Mn
0.3682 0.2500 0.5290 Mn
0.4339 0.0087 0.3092 Mn
0.4339 0.4913 0.3092 Mn
0.4520 0.7500 0.0786 Mn
0.5480 0.2500 0.9214 Mn
0.5661 0.5087 0.6908 Mn
0.5661 0.9913 0.6908 Mn
0.6318 0.7500 0.4710 Mn
0.6357 0.2500 0.1498 Mn
0.6952 0.7500 0.2420 Mn
0.8048 0.2500 0.7420 Mn
0.8643 0.7500 0.6498 Mn
0.8682 0.2500 0.9710 Mn
0.9339 0.0087 0.1908 Mn
0.9339 0.4913 0.1908 Mn
0.9520 0.7500 0.4214 Mn
```

---

Record 4
Diffraction record for LiNd2BPd6. The powder diffractogram is computed, not measured: it uses a cell relaxed with PBE and Cu Kα (λ = 1.5418 Å).
Lines closer than 0.1° are merged.

Peak list (10 most intense, 2θ from 15° to 90°, in order of falling intensity)
| 2θ/deg | I (rel.) |
| --- | --- |
| 37.10 | 100 |
| 40.85 | 65 |
| 28.75 | 36 |
| 29.87 | 27 |
| 64.29 | 22 |
| 54.48 | 18 |
| 38.28 | 18 |
| 71.91 | 15 |
| 34.15 | 13 |
| 59.88 | 12 |

Structural model:
```
LiNd2BPd6
1.0
5.0199 -2.8972 0.0000
5.0199 2.8972 0.0000
-3.3370 0.0000 6.2100
Li Nd B Pd
1 2 1 6
Direct
0.0000 0.0000 0.0000 Li
0.2747 0.2747 0.8250 Nd
0.7253 0.7253 0.1750 Nd
0.5000 0.5000 0.5000 B
0.2236 0.7351 0.6948 Pd
0.2647 0.2647 0.3050 Pd
0.2649 0.7764 0.3052 Pd
0.7351 0.2236 0.6948 Pd
0.7353 0.7353 0.6950 Pd
0.7764 0.2649 0.3052 Pd
```

---

Record 5
Diffraction record for SnH4. The powder diffractogram is computed, not measured: it uses a cell relaxed with PBE and Cu Kα (λ = 1.5418 Å).
Lines closer than 0.1° are merged.

Peak list (10 most intense, 2θ from 15° to 90°, in order of falling intensity)
| 2θ/deg | I (rel.) |
| --- | --- |
| 23.29 | 100 |
| 23.56 | 82 |
| 29.21 | 60 |
| 23.89 | 58 |
| 24.39 | 54 |
| 41.31 | 35 |
| 38.22 | 33 |
| 37.55 | 30 |
| 49.02 | 15 |
| 42.59 | 14 |

Structural model:
```
SnH4
1.0
4.2796 -2.2143 0.0000
4.2796 2.2143 0.0000
-3.9948 0.0000 7.4498
Sn H
2 8
Direct
0.0695 0.9305 0.7500 Sn
0.9305 0.0695 0.2500 Sn
0.0276 0.3371 0.8060 H
0.2583 0.6679 0.5702 H
0.3321 0.7417 0.9298 H
0.3371 0.0276 0.3060 H
0.6629 0.9724 0.6940 H
0.6679 0.2583 0.0702 H
0.7417 0.3321 0.4298 H
0.9724 0.6629 0.1940 H
```

---

Record 6
Diffraction record for Sc4InSbO. The powder diffractogram is computed, not measured: it uses a cell relaxed with PBE and Cu Kα (λ = 1.5418 Å).
Lines closer than 0.1° are merged.

Peak list (10 most intense, 2θ from 15° to 90°, in order of falling intensity)
| 2θ/deg | I (rel.) |
| --- | --- |
| 37.65 | 100 |
| 41.90 | 60 |
| 29.29 | 56 |
| 27.02 | 42 |
| 31.57 | 40 |
| 35.00 | 32 |
| 55.71 | 30 |
| 73.72 | 26 |
| 21.40 | 25 |
| 23.13 | 19 |

Structural model:
```
Sc4InSbO
1.0
3.0492 -7.6909 0.0000
3.0492 7.6909 0.0000
0.0000 0.0000 6.0974
Sc In Sb O
8 2 2 2
Direct
0.0000 0.5000 0.0000 Sc
0.0000 0.5000 0.5000 Sc
0.0875 0.9125 0.7500 Sc
0.4134 0.5866 0.7500 Sc
0.5000 0.0000 0.0000 Sc
0.5000 0.0000 0.5000 Sc
0.5866 0.4134 0.2500 Sc
0.9125 0.0875 0.2500 Sc
0.1064 0.8936 0.2500 In
0.8936 0.1064 0.7500 In
0.3925 0.6075 0.2500 Sb
0.6075 0.3925 0.7500 Sb
0.2493 0.7507 0.7500 O
0.7507 0.2493 0.2500 O
```